1.
Starting from DFT lattice parameters and positions (PBE), the PXRD pattern of Zn22Ni3 was computed for λ = 1.5418 Å (Cu Kα).

Structure:
a b c (Å): 13.417 7.479 7.655
angles (deg): 90.00 111.43 90.00
Space group C2/m (No. 12)
Symmetry-distinct sites (fractional):
Zn 0.000 0.176 0.000 x4
Zn 0.021 0.500 0.175 x4
Zn 0.042 0.197 0.688 x8
Zn 0.149 0.000 0.273 x4
Zn 0.157 0.320 0.463 x8
Zn 0.169 0.500 0.783 x4
Zn 0.185 0.000 0.623 x4
Zn 0.192 0.310 0.098 x8
Ni 0.000 0.500 0.500 x2
Ni 0.157 0.000 0.946 x4

Most intense lines, 2θ = 5–70°, sorted by position:
(3 3 0), 42.25°, I 87.4; (2 2 -3), 42.91°, I 66.2; (1 1 3), 43.03°, I 100.0; (6 0 0), 43.47°, I 37.9; (5 1 -3), 43.62°, I 48.7; (3 3 -2), 45.16°, I 30.6



2.
Starting from DFT lattice parameters and positions (PBE), the PXRD pattern of V3Pd7 was computed for λ = 1.5418 Å (Cu Kα).

Structure:
a b c (Å): 14.044 3.911 5.502
angles (deg): 90.00 101.59 90.00
Space group C2/m (No. 12)
Symmetry-distinct sites (fractional):
V 0.000 0.000 0.000 x2
V 0.200 0.000 0.608 x4
Pd 0.000 0.000 0.500 x2
Pd 0.097 0.500 0.806 x4
Pd 0.105 0.500 0.312 x4
Pd 0.201 0.000 0.112 x4

Most intense lines, 2θ = 5–70°, sorted by position:
(5 1 0), 40.07°, I 100.0; (0 2 0), 46.44°, I 16.3; (6 0 -2), 46.56°, I 16.0; (4 0 2), 46.82°, I 15.5; (6 2 -2), 67.88°, I 10.0; (4 2 2), 68.10°, I 14.6



3.
Starting from DFT lattice parameters and positions (PBE), the PXRD pattern of PmSm5Ho5 was computed for λ = 1.5418 Å (Cu Kα).

Structure:
a b c (Å): 6.0975 6.0975 11.7256
angles (deg): 90.00 90.00 120.00
Space group P-6m2 (No. 187)
Symmetry-distinct sites (fractional):
Pm 0.0000 0.0000 0.0000 x1
Sm 0.0000 0.0000 0.3205 x2
Sm 0.3333 0.6667 0.1555 x2
Sm 0.6667 0.3333 0.0000 x1
Ho 0.0004 0.5002 0.5000 x3
Ho 0.6667 0.3333 0.2660 x2

Most intense lines, 2θ = 5–70°, sorted by position:
(1 0 3), 28.41°, I 100.0; (1 1 0), 29.29°, I 85.2; (2 0 1), 34.83°, I 36.2; (1 0 4), 35.01°, I 34.9; (2 0 2), 37.38°, I 51.9; (2 1 3), 51.41°, I 38.7



4.
Starting from DFT lattice parameters and positions (PBE), the PXRD pattern of HPtCl6 was computed for λ = 1.5418 Å (Cu Kα).

Structure:
a b c (Å): 7.385 9.268 6.538
angles (deg): 90.00 113.32 90.00
Space group C2/m (No. 12)
Symmetry-distinct sites (fractional):
H 0.000 0.000 0.000 x2
Pt 0.000 0.000 0.500 x2
Cl 0.024 0.161 0.237 x8
Cl 0.160 0.500 0.317 x4

Most intense lines, 2θ = 5–70°, sorted by position:
(0 0 1), 14.75°, I 48.9; (1 1 0), 16.19°, I 100.0; (1 1 -1), 18.11°, I 64.4; (0 2 1), 24.26°, I 36.3; (2 0 0), 26.28°, I 27.2; (1 3 -2), 40.19°, I 29.4



5.
Starting from DFT lattice parameters and positions (PBE), the PXRD pattern of Ac2OF5 was computed for λ = 1.5418 Å (Cu Kα).

Structure:
a b c (Å): 4.3856 4.3856 16.5223
angles (deg): 90.00 90.00 120.00
Space group P6_3/mmc (No. 194)
Symmetry-distinct sites (fractional):
Ac 0.3333 0.6667 0.1122 x4
O 0.3333 0.6667 0.2500 x2
F 0.0000 0.0000 0.1124 x4
F 0.3333 0.6667 0.5506 x4
F 0.3333 0.6667 0.7500 x2

Most intense lines, 2θ = 5–70°, sorted by position:
(0 0 4), 21.51°, I 60.9; (1 0 1), 24.04°, I 92.4; (1 0 3), 28.55°, I 100.0; (1 1 0), 41.17°, I 64.6; (1 0 7), 45.23°, I 51.0; (1 1 4), 46.91°, I 49.4



6.
Starting from DFT lattice parameters and positions (PBE), the PXRD pattern of LaSnB12 was computed for λ = 1.5418 Å (Cu Kα).

Structure:
a b c (Å): 8.355 8.355 8.355
angles (deg): 90.00 90.00 90.00
Space group Fm-3m (No. 225)
Symmetry-distinct sites (fractional):
La 0.000 0.000 0.000 x4
Sn 0.000 0.000 0.500 x4
B 0.100 0.250 0.250 x48

Most intense lines, 2θ = 5–70°, sorted by position:
(2 0 0), 21.27°, I 58.9; (2 2 0), 30.26°, I 100.0; (2 2 2), 37.28°, I 42.6; (4 2 0), 48.74°, I 49.9; (4 2 2), 53.75°, I 26.6; (4 4 2), 67.23°, I 29.1